(1)
This entry pairs a crystal structure of SrCd5Hg7 with its simulated XRD peak list. Radiation: Cu Kα, 1.54184 Å. Structure: a cell relaxed with GGA-PBE.
Peak positions follow from Bragg's law for the DFT cell and can differ from measured ones.

Top 8 peaks for 2θ from 10° to 90°, in order of rising 2θ:
| d_spacing | I/Imax |
| --- | --- |
| 3.123 | 35 |
| 3.086 | 63 |
| 2.653 | 33 |
| 2.625 | 100 |
| 2.375 | 33 |
| 2.366 | 49 |
| 2.348 | 35 |
| 2.259 | 39 |

a b c (Å): 7.927 7.927 6.247
angles (deg): 113.01 113.01 84.39
Sites, in units of the cell vectors:
Sr (0.000, 0.000, 0.000)
Cd (0.022, 0.486, 0.020)
Cd (0.250, 0.250, 0.734)
Cd (0.486, 0.022, 0.020)
Cd (0.516, 0.995, 0.514)
Cd (0.995, 0.516, 0.514)
Hg (0.182, 0.828, 0.512)
Hg (0.338, 0.670, 0.007)
Hg (0.348, 0.348, 0.363)
Hg (0.641, 0.641, 0.586)
Hg (0.670, 0.338, 0.007)
Hg (0.758, 0.758, 0.170)
Hg (0.828, 0.182, 0.512)


(2)
This entry pairs a crystal structure of TbCd3Hg with its simulated XRD peak list. Radiation: Cu Kα, 1.54184 Å. Structure: a cell relaxed with GGA-PBE.
Peak positions follow from Bragg's law for the DFT cell and can differ from measured ones.

Top 8 peaks for 2θ from 10° to 90°, in order of rising 2θ:
| d_spacing | I/Imax |
| --- | --- |
| 2.805 | 100 |
| 2.485 | 18 |
| 2.381 | 18 |
| 2.369 | 25 |
| 2.155 | 16 |
| 2.112 | 21 |
| 1.576 | 15 |
| 1.376 | 15 |

a b c (Å): 9.526 4.224 12.229
angles (deg): 90.00 90.00 90.00
Sites, in units of the cell vectors:
Tb (0.169, 0.250, 0.003)
Tb (0.331, 0.750, 0.503)
Tb (0.669, 0.250, 0.497)
Tb (0.831, 0.750, 0.997)
Cd (0.090, 0.250, 0.386)
Cd (0.091, 0.750, 0.199)
Cd (0.128, 0.750, 0.802)
Cd (0.372, 0.250, 0.302)
Cd (0.409, 0.250, 0.699)
Cd (0.410, 0.750, 0.886)
Cd (0.590, 0.250, 0.114)
Cd (0.591, 0.750, 0.301)
Cd (0.628, 0.750, 0.698)
Cd (0.872, 0.250, 0.198)
Cd (0.909, 0.250, 0.801)
Cd (0.910, 0.750, 0.614)
Hg (0.127, 0.250, 0.619)
Hg (0.373, 0.750, 0.119)
Hg (0.627, 0.250, 0.881)
Hg (0.873, 0.750, 0.381)


(3)
This entry pairs a crystal structure of Tb3CdHg4 with its simulated XRD peak list. Radiation: Cu Kα, 1.54184 Å. Structure: a cell relaxed with GGA-PBE.
Peak positions follow from Bragg's law for the DFT cell and can differ from measured ones.

Top 8 peaks for 2θ from 10° to 90°, in order of rising 2θ:
| d_spacing | I/Imax |
| --- | --- |
| 2.633 | 99 |
| 2.581 | 100 |
| 1.843 | 35 |
| 1.531 | 16 |
| 1.500 | 36 |
| 1.490 | 19 |
| 1.173 | 13 |
| 1.159 | 16 |

a b c (Å): 9.185 9.185 9.185
angles (deg): 32.64 32.64 32.64
Sites, in units of the cell vectors:
Tb (0.000, 0.000, 0.000)
Tb (0.242, 0.242, 0.242)
Tb (0.758, 0.758, 0.758)
Cd (0.500, 0.500, 0.500)
Hg (0.122, 0.122, 0.122)
Hg (0.369, 0.369, 0.369)
Hg (0.631, 0.631, 0.631)
Hg (0.878, 0.878, 0.878)


(4)
This entry pairs a crystal structure of Tb2Cd3Hg3 with its simulated XRD peak list. Radiation: Cu Kα, 1.54184 Å. Structure: a cell relaxed with GGA-PBE.
Peak positions follow from Bragg's law for the DFT cell and can differ from measured ones.

Top 8 peaks for 2θ from 10° to 90°, in order of rising 2θ:
| d_spacing | I/Imax |
| --- | --- |
| 3.606 | 2 |
| 2.550 | 100 |
| 1.803 | 18 |
| 1.473 | 27 |
| 1.471 | 9 |
| 1.276 | 6 |
| 1.274 | 6 |
| 1.140 | 16 |

a b c (Å): 8.843 8.843 8.843
angles (deg): 33.50 33.50 33.50
Sites, in units of the cell vectors:
Tb (0.000, 0.000, 0.000)
Tb (0.496, 0.496, 0.496)
Cd (0.248, 0.248, 0.248)
Cd (0.622, 0.622, 0.622)
Cd (0.747, 0.747, 0.747)
Hg (0.124, 0.124, 0.124)
Hg (0.371, 0.371, 0.371)
Hg (0.875, 0.875, 0.875)


(5)
This entry pairs a crystal structure of TbCd2Hg8 with its simulated XRD peak list. Radiation: Cu Kα, 1.54184 Å. Structure: a cell relaxed with GGA-PBE.
Peak positions follow from Bragg's law for the DFT cell and can differ from measured ones.

Top 8 peaks for 2θ from 10° to 90°, in order of rising 2θ:
| d_spacing | I/Imax |
| --- | --- |
| 2.956 | 23 |
| 2.647 | 100 |
| 2.575 | 78 |
| 2.568 | 40 |
| 2.305 | 36 |
| 2.011 | 17 |
| 1.716 | 24 |
| 1.369 | 25 |

a b c (Å): 8.050 8.050 4.610
angles (deg): 90.06 90.06 106.84
Sites, in units of the cell vectors:
Tb (0.000, 0.000, 0.000)
Cd (0.384, 0.616, 0.500)
Cd (0.616, 0.384, 0.500)
Hg (0.040, 0.312, 0.501)
Hg (0.242, 0.758, 0.000)
Hg (0.312, 0.040, 0.501)
Hg (0.326, 0.326, 0.001)
Hg (0.674, 0.674, 0.999)
Hg (0.688, 0.960, 0.499)
Hg (0.758, 0.242, 0.000)
Hg (0.960, 0.688, 0.499)


(6)
This entry pairs a crystal structure of Tb2Cd2Hg with its simulated XRD peak list. Radiation: Cu Kα, 1.54184 Å. Structure: a cell relaxed with GGA-PBE.
Peak positions follow from Bragg's law for the DFT cell and can differ from measured ones.

Top 8 peaks for 2θ from 10° to 90°, in order of rising 2θ:
| d_spacing | I/Imax |
| --- | --- |
| 2.743 | 100 |
| 2.584 | 85 |
| 2.556 | 52 |
| 2.395 | 36 |
| 2.050 | 15 |
| 1.748 | 33 |
| 1.454 | 19 |
| 1.428 | 27 |

a b c (Å): 8.037 8.037 3.429
angles (deg): 90.00 90.00 145.33
Sites, in units of the cell vectors:
Tb (0.112, 0.888, 0.000)
Tb (0.888, 0.112, 0.000)
Cd (0.300, 0.700, 0.500)
Cd (0.700, 0.300, 0.500)
Hg (0.500, 0.500, 0.500)


(7)
This entry pairs a crystal structure of Tb5CdHg2 with its simulated XRD peak list. Radiation: Cu Kα, 1.54184 Å. Structure: a cell relaxed with GGA-PBE.
Peak positions follow from Bragg's law for the DFT cell and can differ from measured ones.

Top 8 peaks for 2θ from 10° to 90°, in order of rising 2θ:
| d_spacing | I/Imax |
| --- | --- |
| 2.818 | 100 |
| 2.656 | 49 |
| 2.544 | 8 |
| 2.132 | 8 |
| 2.044 | 10 |
| 1.838 | 9 |
| 1.663 | 10 |
| 1.465 | 23 |

a b c (Å): 8.728 8.728 8.728
angles (deg): 122.48 122.48 85.76
Sites, in units of the cell vectors:
Tb (0.000, 0.000, 0.000)
Tb (0.002, 0.502, 0.806)
Tb (0.197, 0.002, 0.500)
Tb (0.303, 0.803, 0.806)
Tb (0.498, 0.303, 0.500)
Tb (0.500, 0.500, 0.000)
Tb (0.502, 0.697, 0.500)
Tb (0.697, 0.197, 0.194)
Tb (0.803, 0.998, 0.500)
Tb (0.998, 0.498, 0.194)
Cd (0.250, 0.250, 0.000)
Cd (0.750, 0.750, 0.000)
Hg (0.141, 0.359, 0.500)
Hg (0.359, 0.859, 0.218)
Hg (0.641, 0.141, 0.782)
Hg (0.859, 0.641, 0.500)


(8)
This entry pairs a crystal structure of TbCd23Hg6 with its simulated XRD peak list. Radiation: Cu Kα, 1.54184 Å. Structure: a cell relaxed with GGA-PBE.
Peak positions follow from Bragg's law for the DFT cell and can differ from measured ones.

Top 8 peaks for 2θ from 10° to 90°, in order of rising 2θ:
| d_spacing | I/Imax |
| --- | --- |
| 3.177 | 11 |
| 2.734 | 23 |
| 2.512 | 100 |
| 2.368 | 7 |
| 1.850 | 10 |
| 1.776 | 13 |
| 1.450 | 21 |
| 1.374 | 12 |

a b c (Å): 10.047 10.047 10.047
angles (deg): 60.00 60.00 60.00
Sites, in units of the cell vectors:
Tb (0.000, 0.000, 0.000)
Cd (0.000, 0.000, 0.500)
Cd (0.000, 0.500, 0.000)
Cd (0.000, 0.500, 0.500)
Cd (0.131, 0.623, 0.623)
Cd (0.151, 0.151, 0.151)
Cd (0.151, 0.151, 0.546)
Cd (0.151, 0.546, 0.151)
Cd (0.377, 0.377, 0.377)
Cd (0.377, 0.377, 0.869)
Cd (0.377, 0.869, 0.377)
Cd (0.454, 0.849, 0.849)
Cd (0.500, 0.000, 0.000)
Cd (0.500, 0.000, 0.500)
Cd (0.500, 0.500, 0.000)
Cd (0.500, 0.500, 0.500)
Cd (0.546, 0.151, 0.151)
Cd (0.623, 0.131, 0.623)
Cd (0.623, 0.623, 0.131)
Cd (0.623, 0.623, 0.623)
Cd (0.849, 0.454, 0.849)
Cd (0.849, 0.849, 0.454)
Cd (0.849, 0.849, 0.849)
Cd (0.869, 0.377, 0.377)
Hg (0.222, 0.222, 0.778)
Hg (0.222, 0.778, 0.222)
Hg (0.222, 0.778, 0.778)
Hg (0.778, 0.222, 0.222)
Hg (0.778, 0.222, 0.778)
Hg (0.778, 0.778, 0.222)


(9)
This entry pairs a crystal structure of Tb3CdHg with its simulated XRD peak list. Radiation: Cu Kα, 1.54184 Å. Structure: a cell relaxed with GGA-PBE.
Peak positions follow from Bragg's law for the DFT cell and can differ from measured ones.

Top 8 peaks for 2θ from 10° to 90°, in order of rising 2θ:
| d_spacing | I/Imax |
| --- | --- |
| 2.901 | 45 |
| 2.829 | 34 |
| 2.772 | 34 |
| 2.721 | 82 |
| 2.691 | 35 |
| 2.530 | 99 |
| 2.518 | 100 |
| 1.536 | 34 |

a b c (Å): 6.631 6.631 15.659
angles (deg): 103.96 103.96 62.23
Sites, in units of the cell vectors:
Tb (0.120, 0.245, 0.817)
Tb (0.162, 0.354, 0.613)
Tb (0.225, 0.750, 0.945)
Tb (0.245, 0.120, 0.317)
Tb (0.250, 0.775, 0.555)
Tb (0.354, 0.162, 0.113)
Tb (0.646, 0.838, 0.887)
Tb (0.750, 0.225, 0.445)
Tb (0.755, 0.880, 0.683)
Tb (0.775, 0.250, 0.055)
Tb (0.838, 0.646, 0.387)
Tb (0.880, 0.755, 0.183)
Cd (0.297, 0.616, 0.343)
Cd (0.384, 0.703, 0.157)
Cd (0.616, 0.297, 0.843)
Cd (0.703, 0.384, 0.657)
Hg (0.000, 0.500, 0.000)
Hg (0.276, 0.724, 0.750)
Hg (0.500, 0.000, 0.500)
Hg (0.724, 0.276, 0.250)


(10)
This entry pairs a crystal structure of Tb8CdHg2 with its simulated XRD peak list. Radiation: Cu Kα, 1.54184 Å. Structure: a cell relaxed with GGA-PBE.
Peak positions follow from Bragg's law for the DFT cell and can differ from measured ones.

Top 8 peaks for 2θ from 10° to 90°, in order of rising 2θ:
| d_spacing | I/Imax |
| --- | --- |
| 2.778 | 46 |
| 2.750 | 98 |
| 2.714 | 100 |
| 2.679 | 53 |
| 1.935 | 18 |
| 1.929 | 32 |
| 1.560 | 19 |
| 1.553 | 19 |

a b c (Å): 8.544 8.544 8.522
angles (deg): 119.47 119.47 36.55
Sites, in units of the cell vectors:
Tb (0.068, 0.068, 0.222)
Tb (0.139, 0.139, 0.690)
Tb (0.319, 0.319, 0.550)
Tb (0.407, 0.407, 0.047)
Tb (0.593, 0.593, 0.953)
Tb (0.681, 0.681, 0.450)
Tb (0.861, 0.861, 0.310)
Tb (0.932, 0.932, 0.778)
Cd (0.500, 0.500, 0.500)
Hg (0.226, 0.226, 0.122)
Hg (0.774, 0.774, 0.878)


(11)
This entry pairs a crystal structure of Tb3CdHg3 with its simulated XRD peak list. Radiation: Cu Kα, 1.54184 Å. Structure: a cell relaxed with GGA-PBE.
Peak positions follow from Bragg's law for the DFT cell and can differ from measured ones.

Top 8 peaks for 2θ from 10° to 90°, in order of rising 2θ:
| d_spacing | I/Imax |
| --- | --- |
| 2.970 | 25 |
| 2.603 | 24 |
| 2.580 | 100 |
| 1.958 | 15 |
| 1.715 | 17 |
| 1.498 | 19 |
| 1.432 | 18 |
| 1.428 | 13 |

a b c (Å): 9.073 9.073 5.206
angles (deg): 90.00 90.00 120.00
Sites, in units of the cell vectors:
Tb (0.099, 0.652, 0.250)
Tb (0.348, 0.447, 0.250)
Tb (0.447, 0.099, 0.750)
Tb (0.553, 0.901, 0.250)
Tb (0.652, 0.553, 0.750)
Tb (0.901, 0.348, 0.750)
Cd (0.333, 0.667, 0.750)
Cd (0.667, 0.333, 0.250)
Hg (0.041, 0.794, 0.750)
Hg (0.206, 0.247, 0.750)
Hg (0.247, 0.041, 0.250)
Hg (0.753, 0.959, 0.750)
Hg (0.794, 0.753, 0.250)
Hg (0.959, 0.206, 0.250)


(12)
This entry pairs a crystal structure of TbCd8Hg6 with its simulated XRD peak list. Radiation: Cu Kα, 1.54184 Å. Structure: a cell relaxed with GGA-PBE.
Peak positions follow from Bragg's law for the DFT cell and can differ from measured ones.

Top 8 peaks for 2θ from 10° to 90°, in order of rising 2θ:
| d_spacing | I/Imax |
| --- | --- |
| 4.269 | 24 |
| 3.529 | 38 |
| 2.527 | 100 |
| 2.465 | 96 |
| 1.938 | 19 |
| 1.764 | 29 |
| 1.471 | 19 |
| 1.435 | 25 |

a b c (Å): 7.975 7.975 7.975
angles (deg): 64.73 64.73 64.73
Sites, in units of the cell vectors:
Tb (0.000, 0.000, 0.000)
Cd (0.143, 0.757, 0.429)
Cd (0.243, 0.571, 0.857)
Cd (0.346, 0.346, 0.346)
Cd (0.429, 0.143, 0.757)
Cd (0.571, 0.857, 0.243)
Cd (0.654, 0.654, 0.654)
Cd (0.757, 0.429, 0.143)
Cd (0.857, 0.243, 0.571)
Hg (0.034, 0.418, 0.751)
Hg (0.249, 0.966, 0.582)
Hg (0.418, 0.751, 0.034)
Hg (0.582, 0.249, 0.966)
Hg (0.751, 0.034, 0.418)
Hg (0.966, 0.582, 0.249)